# Mg2Fe9O13
Theoretical X-ray diffraction stick pattern, Cu Kα. Input: DFT lattice parameters and positions (PBE+U).

Structure:
Lattice parameters (Å, degrees): 9.945 2.932 16.816 90.00 97.38 90.00
Space group C2/m (No. 12)
Asymmetric unit:
Mg1 0.212 0.000 0.226 x4
Fe1 0.000 0.500 0.500 x2
Fe2 0.016 0.000 0.679 x4
Fe3 0.064 0.000 0.876 x4
Fe4 0.146 0.500 0.040 x4
Fe5 0.248 0.500 0.415 x4
O1 0.000 0.000 0.000 x2
O2 0.086 0.500 0.142 x4
O3 0.121 0.500 0.609 x4
O4 0.136 0.000 0.465 x4
O5 0.136 0.500 0.311 x4
O6 0.147 0.000 0.776 x4
O7 0.220 0.500 0.935 x4

Most intense lines, 2θ = 10–90°, in order of falling intensity:
| 2θ/deg | d (Å) | Rel. int. | (hkl) |
| --- | --- | --- | --- |
| 34.34 | 2.612 | 100 | 2 0 5 |
| 10.61 | 8.339 | 85 | 0 0 2 |
| 34.96 | 2.566 | 75 | 2 0 -6 |
| 43.11 | 2.098 | 61 | 3 1 -3 |
| 63.44 | 1.466 | 51 | 0 2 0 |
| 36.14 | 2.486 | 47 | 4 0 -1 |
| 42.10 | 2.146 | 42 | 3 1 1 |
| 45.12 | 2.010 | 41 | 3 1 -4 |
| 43.65 | 2.074 | 38 | 3 1 2 |
| 58.65 | 1.574 | 38 | 1 1 -9 |

=====

# Li3Co2Si2O8
Theoretical X-ray diffraction stick pattern, Cu Kα. Input: DFT lattice parameters and positions (PBE+U).

Structure:
Lattice parameters (Å, degrees): 5.033 11.035 6.124 90.00 90.07 90.00
Space group P2_1 (No. 4)
Asymmetric unit:
Li1 0.061 0.000 0.246 x2
Li2 0.075 0.993 0.743 x2
Li3 0.435 0.830 0.264 x2
Co1 0.079 0.247 0.485 x2
Co2 0.436 0.585 0.009 x2
Si1 0.066 0.251 0.990 x2
Si2 0.419 0.586 0.504 x2
O1 0.006 0.826 0.791 x2
O2 0.039 0.823 0.230 x2
O3 0.058 0.608 0.004 x2
O4 0.092 0.581 0.505 x2
O5 0.392 0.234 0.970 x2
O6 0.466 0.224 0.499 x2
O7 0.472 0.017 0.721 x2
O8 0.473 0.013 0.270 x2

Most intense lines, 2θ = 10–90°, in order of falling intensity:
| 2θ/deg | d (Å) | Rel. int. | (hkl) |
| --- | --- | --- | --- |
| 23.93 | 3.718 | 100 | 1 2 0 |
| 16.06 | 5.518 | 71 | 0 2 0 |
| 33.47 | 2.677 | 53 | 0 2 2 |
| 35.68 | 2.516 | 47 | 2 0 0 |
| 29.17 | 3.062 | 39 | 0 0 2 |
| 30.09 | 2.970 | 28 | 1 3 0 |
| 58.55 | 1.577 | 27 | 0 6 2 |
| 32.45 | 2.759 | 23 | 0 4 0 |
| 42.40 | 2.132 | 22 | 1 3 -2 |
| 68.71 | 1.366 | 20 | 3 3 -2 |

=====

> What is the formula in the first record?

Mg2Fe9O13

=====

Repeat the second record exactly.
# Li3Co2Si2O8
Theoretical X-ray diffraction stick pattern, Cu Kα. Input: DFT lattice parameters and positions (PBE+U).

Structure:
Lattice parameters (Å, degrees): 5.033 11.035 6.124 90.00 90.07 90.00
Space group P2_1 (No. 4)
Asymmetric unit:
Li1 0.061 0.000 0.246 x2
Li2 0.075 0.993 0.743 x2
Li3 0.435 0.830 0.264 x2
Co1 0.079 0.247 0.485 x2
Co2 0.436 0.585 0.009 x2
Si1 0.066 0.251 0.990 x2
Si2 0.419 0.586 0.504 x2
O1 0.006 0.826 0.791 x2
O2 0.039 0.823 0.230 x2
O3 0.058 0.608 0.004 x2
O4 0.092 0.581 0.505 x2
O5 0.392 0.234 0.970 x2
O6 0.466 0.224 0.499 x2
O7 0.472 0.017 0.721 x2
O8 0.473 0.013 0.270 x2

Most intense lines, 2θ = 10–90°, in order of falling intensity:
| 2θ/deg | d (Å) | Rel. int. | (hkl) |
| --- | --- | --- | --- |
| 23.93 | 3.718 | 100 | 1 2 0 |
| 16.06 | 5.518 | 71 | 0 2 0 |
| 33.47 | 2.677 | 53 | 0 2 2 |
| 35.68 | 2.516 | 47 | 2 0 0 |
| 29.17 | 3.062 | 39 | 0 0 2 |
| 30.09 | 2.970 | 28 | 1 3 0 |
| 58.55 | 1.577 | 27 | 0 6 2 |
| 32.45 | 2.759 | 23 | 0 4 0 |
| 42.40 | 2.132 | 22 | 1 3 -2 |
| 68.71 | 1.366 | 20 | 3 3 -2 |